Entry 1:
Structure and calculated X-ray diffraction stick pattern of NdYSiPd (a crystal structure in Alexandria, relaxed with GGA-PBE; Cu Kα (weighted mean of Kα1 and Kα2)).
Intensities are scaled so that the largest is 100.

Principal peaks in the range 5 to 70 degrees two-theta, by angle:
20.82°, I 20
26.52°, I 20
31.40°, I 100
32.83°, I 29
32.97°, I 45
39.20°, I 24
39.31°, I 58
42.38°, I 25
44.33°, I 22
54.67°, I 34

Cell and atoms:
```
data_NdYSiPd
_cell_length_a 4.266
_cell_length_b 4.087
_cell_length_c 10.913
_cell_angle_alpha 90.00
_cell_angle_beta 90.00
_cell_angle_gamma 90.00
_symmetry_space_group_name_H-M 'P 1'
_symmetry_Int_Tables_number 1
_symmetry_space_group_name_Hall 'P 1'
loop_
_atom_site_label
_atom_site_fract_x
_atom_site_fract_y
_atom_site_fract_z
Nd1 0.000 0.000 0.000
Nd2 0.000 0.500 0.500
Y1 0.500 0.000 0.279
Y2 0.500 0.500 0.779
Si1 0.500 0.000 0.569
Si2 0.500 0.500 0.069
Pd1 0.000 0.000 0.716
Pd2 0.000 0.500 0.216
```

Entry 2:
Structure and calculated X-ray diffraction stick pattern of NdSm2Pd4 (a crystal structure in Alexandria, relaxed with GGA-PBE; Cu Kα (weighted mean of Kα1 and Kα2)).
Intensities are scaled so that the largest is 100.

Principal peaks in the range 5 to 70 degrees two-theta, by angle:
11.61°, I 35
20.00°, I 61
23.19°, I 28
30.93°, I 30
34.71°, I 73
35.33°, I 28
36.91°, I 100
40.65°, I 38
45.46°, I 34
52.01°, I 37

Cell and atoms:
```
data_NdSm2Pd4
_cell_length_a 8.820
_cell_length_b 8.159
_cell_length_c 5.310
_cell_angle_alpha 78.70
_cell_angle_beta 65.12
_cell_angle_gamma 36.18
_symmetry_space_group_name_H-M 'P 1'
_symmetry_Int_Tables_number 1
_symmetry_space_group_name_Hall 'P 1'
loop_
_atom_site_label
_atom_site_fract_x
_atom_site_fract_y
_atom_site_fract_z
Nd1 0.000 0.000 0.000
Sm1 0.367 0.367 0.633
Sm2 0.633 0.633 0.367
Pd1 0.000 0.000 0.500
Pd2 0.185 0.185 0.815
Pd3 0.500 0.500 0.000
Pd4 0.815 0.815 0.185
```

Entry 3:
Structure and calculated X-ray diffraction stick pattern of NdSmPd3 (a crystal structure in Alexandria, relaxed with GGA-PBE; Cu Kα (weighted mean of Kα1 and Kα2)).
Intensities are scaled so that the largest is 100.

Principal peaks in the range 5 to 70 degrees two-theta, by angle:
34.12°, I 51
34.25°, I 100
35.97°, I 32
36.13°, I 22
40.39°, I 15
42.84°, I 12
45.12°, I 21
45.40°, I 32
52.86°, I 15
65.92°, I 14

Cell and atoms:
```
data_NdSmPd3
_cell_length_a 6.978
_cell_length_b 7.983
_cell_length_c 7.993
_cell_angle_alpha 90.00
_cell_angle_beta 90.00
_cell_angle_gamma 90.00
_symmetry_space_group_name_H-M 'P 1'
_symmetry_Int_Tables_number 1
_symmetry_space_group_name_Hall 'P 1'
loop_
_atom_site_label
_atom_site_fract_x
_atom_site_fract_y
_atom_site_fract_z
Nd1 0.218 0.136 0.000
Nd2 0.282 0.636 0.500
Nd3 0.718 0.364 0.500
Nd4 0.782 0.864 0.000
Sm1 0.217 0.135 0.500
Sm2 0.283 0.635 0.000
Sm3 0.717 0.365 0.000
Sm4 0.783 0.865 0.500
Pd1 0.000 0.500 0.244
Pd2 0.000 0.500 0.756
Pd3 0.116 0.856 0.250
Pd4 0.116 0.856 0.750
Pd5 0.384 0.356 0.250
Pd6 0.384 0.356 0.750
Pd7 0.500 0.000 0.256
Pd8 0.500 0.000 0.744
Pd9 0.616 0.644 0.250
Pd10 0.616 0.644 0.750
Pd11 0.884 0.144 0.250
Pd12 0.884 0.144 0.750
```

Entry 4:
Structure and calculated X-ray diffraction stick pattern of Nd3Sm3Pd4 (a crystal structure in Alexandria, relaxed with GGA-PBE; Cu Kα (weighted mean of Kα1 and Kα2)).
Intensities are scaled so that the largest is 100.

Principal peaks in the range 5 to 70 degrees two-theta, by angle:
27.38°, I 15
31.62°, I 78
33.50°, I 99
33.65°, I 100
35.09°, I 51
35.30°, I 49
45.71°, I 32
58.90°, I 23
59.04°, I 22
66.56°, I 14

Cell and atoms:
```
data_Nd3Sm3Pd4
_cell_length_a 3.970
_cell_length_b 8.063
_cell_length_c 8.063
_cell_angle_alpha 89.46
_cell_angle_beta 90.00
_cell_angle_gamma 90.00
_symmetry_space_group_name_H-M 'P 1'
_symmetry_Int_Tables_number 1
_symmetry_space_group_name_Hall 'P 1'
loop_
_atom_site_label
_atom_site_fract_x
_atom_site_fract_y
_atom_site_fract_z
Nd1 0.000 0.000 0.000
Nd2 0.500 0.335 0.835
Nd3 0.500 0.835 0.335
Sm1 0.000 0.168 0.502
Sm2 0.000 0.502 0.168
Sm3 0.000 0.667 0.667
Pd1 0.500 0.210 0.210
Pd2 0.500 0.462 0.462
Pd3 0.500 0.704 0.959
Pd4 0.500 0.959 0.704
```

Entry 5:
Structure and calculated X-ray diffraction stick pattern of NdSm2Pd3 (a crystal structure in Alexandria, relaxed with GGA-PBE; Cu Kα (weighted mean of Kα1 and Kα2)).
Intensities are scaled so that the largest is 100.

Principal peaks in the range 5 to 70 degrees two-theta, by angle:
16.41°, I 14
28.62°, I 32
33.17°, I 20
35.20°, I 100
39.06°, I 27
40.75°, I 22
50.55°, I 13
53.51°, I 10
55.06°, I 28
59.30°, I 14

Cell and atoms:
```
data_NdSm2Pd3
_cell_length_a 7.647
_cell_length_b 7.647
_cell_length_c 7.647
_cell_angle_alpha 109.22
_cell_angle_beta 90.25
_cell_angle_gamma 131.80
_symmetry_space_group_name_H-M 'P 1'
_symmetry_Int_Tables_number 1
_symmetry_space_group_name_Hall 'P 1'
loop_
_atom_site_label
_atom_site_fract_x
_atom_site_fract_y
_atom_site_fract_z
Nd1 0.500 0.250 0.250
Nd2 0.500 0.750 0.750
Sm1 0.167 0.250 0.917
Sm2 0.167 0.750 0.417
Sm3 0.833 0.250 0.583
Sm4 0.833 0.750 0.083
Pd1 0.000 0.000 0.500
Pd2 0.000 0.250 0.250
Pd3 0.000 0.500 0.000
Pd4 0.000 0.750 0.750
Pd5 0.500 0.250 0.750
Pd6 0.500 0.750 0.250
```

Entry 6:
Structure and calculated X-ray diffraction stick pattern of Nd2Sn3Pd5 (a crystal structure in Alexandria, relaxed with GGA-PBE; Cu Kα (weighted mean of Kα1 and Kα2)).
Intensities are scaled so that the largest is 100.

Principal peaks in the range 5 to 70 degrees two-theta, by angle:
30.90°, I 81
32.66°, I 100
33.54°, I 83
41.84°, I 100
42.47°, I 25
43.18°, I 22
44.03°, I 41
52.31°, I 19
59.55°, I 20
61.79°, I 26

Cell and atoms:
```
data_Nd2Sn3Pd5
_cell_length_a 8.940
_cell_length_b 8.940
_cell_length_c 8.940
_cell_angle_alpha 98.32
_cell_angle_beta 95.54
_cell_angle_gamma 139.36
_symmetry_space_group_name_H-M 'P 1'
_symmetry_Int_Tables_number 1
_symmetry_space_group_name_Hall 'P 1'
loop_
_atom_site_label
_atom_site_fract_x
_atom_site_fract_y
_atom_site_fract_z
Nd1 0.127 0.227 0.354
Nd2 0.373 0.727 0.099
Nd3 0.627 0.273 0.901
Nd4 0.873 0.773 0.646
Sn1 0.138 0.881 0.020
Sn2 0.250 0.750 0.500
Sn3 0.362 0.381 0.743
Sn4 0.638 0.619 0.257
Sn5 0.750 0.250 0.500
Sn6 0.862 0.119 0.980
Pd1 0.023 0.750 0.273
Pd2 0.107 0.661 0.768
Pd3 0.250 0.250 0.000
Pd4 0.393 0.161 0.554
Pd5 0.477 0.750 0.727
Pd6 0.523 0.250 0.273
Pd7 0.607 0.839 0.446
Pd8 0.750 0.750 0.000
Pd9 0.893 0.339 0.232
Pd10 0.977 0.250 0.727
```

Entry 7:
Structure and calculated X-ray diffraction stick pattern of NdSn4Pd8 (a crystal structure in Alexandria, relaxed with GGA-PBE; Cu Kα (weighted mean of Kα1 and Kα2)).
Intensities are scaled so that the largest is 100.

Principal peaks in the range 5 to 70 degrees two-theta, by angle:
14.69°, I 20
24.11°, I 32
28.35°, I 58
29.64°, I 20
34.35°, I 86
37.55°, I 21
42.41°, I 100
45.12°, I 45
49.37°, I 74
67.08°, I 38

Cell and atoms:
```
data_NdSn4Pd8
_cell_length_a 7.383
_cell_length_b 7.383
_cell_length_c 7.383
_cell_angle_alpha 60.00
_cell_angle_beta 60.00
_cell_angle_gamma 60.00
_symmetry_space_group_name_H-M 'P 1'
_symmetry_Int_Tables_number 1
_symmetry_space_group_name_Hall 'P 1'
loop_
_atom_site_label
_atom_site_fract_x
_atom_site_fract_y
_atom_site_fract_z
Nd1 0.000 0.000 0.000
Sn1 0.188 0.604 0.604
Sn2 0.604 0.188 0.604
Sn3 0.604 0.604 0.188
Sn4 0.604 0.604 0.604
Pd1 0.349 0.349 0.349
Pd2 0.349 0.349 0.952
Pd3 0.349 0.952 0.349
Pd4 0.453 0.849 0.849
Pd5 0.849 0.453 0.849
Pd6 0.849 0.849 0.453
Pd7 0.849 0.849 0.849
Pd8 0.952 0.349 0.349
```

Entry 8:
Structure and calculated X-ray diffraction stick pattern of Nd3Sn5Pd5 (a crystal structure in Alexandria, relaxed with GGA-PBE; Cu Kα (weighted mean of Kα1 and Kα2)).
Intensities are scaled so that the largest is 100.

Principal peaks in the range 5 to 70 degrees two-theta, by angle:
32.11°, I 31
32.34°, I 36
32.74°, I 91
33.79°, I 25
35.29°, I 100
36.33°, I 27
36.71°, I 37
37.50°, I 38
39.30°, I 93
42.40°, I 26

Cell and atoms:
```
data_Nd3Sn5Pd5
_cell_length_a 9.098
_cell_length_b 9.098
_cell_length_c 14.476
_cell_angle_alpha 99.24
_cell_angle_beta 99.24
_cell_angle_gamma 29.19
_symmetry_space_group_name_H-M 'P 1'
_symmetry_Int_Tables_number 1
_symmetry_space_group_name_Hall 'P 1'
loop_
_atom_site_label
_atom_site_fract_x
_atom_site_fract_y
_atom_site_fract_z
Nd1 0.102 0.102 0.214
Nd2 0.135 0.135 0.585
Nd3 0.137 0.137 0.872
Nd4 0.863 0.863 0.128
Nd5 0.865 0.865 0.415
Nd6 0.898 0.898 0.786
Sn1 0.000 0.000 0.000
Sn2 0.298 0.298 0.262
Sn3 0.348 0.348 0.598
Sn4 0.352 0.352 0.950
Sn5 0.470 0.470 0.280
Sn6 0.500 0.500 0.500
Sn7 0.530 0.530 0.720
Sn8 0.648 0.648 0.050
Sn9 0.652 0.652 0.402
Sn10 0.702 0.702 0.738
Pd1 0.037 0.037 0.385
Pd2 0.238 0.238 0.429
Pd3 0.240 0.240 0.069
Pd4 0.283 0.283 0.763
Pd5 0.490 0.490 0.098
Pd6 0.510 0.510 0.902
Pd7 0.717 0.717 0.237
Pd8 0.760 0.760 0.931
Pd9 0.762 0.762 0.571
Pd10 0.963 0.963 0.615
```

Entry 9:
Structure and calculated X-ray diffraction stick pattern of Nd12SnPd5 (a crystal structure in Alexandria, relaxed with GGA-PBE; Cu Kα (weighted mean of Kα1 and Kα2)).
Intensities are scaled so that the largest is 100.

Principal peaks in the range 5 to 70 degrees two-theta, by angle:
28.89°, I 24
30.53°, I 100
32.41°, I 78
32.81°, I 90
33.47°, I 58
33.90°, I 33
36.91°, I 35
50.70°, I 24
54.61°, I 26
57.33°, I 42

Cell and atoms:
```
data_Nd12SnPd5
_cell_length_a 8.809
_cell_length_b 8.809
_cell_length_c 8.809
_cell_angle_alpha 112.87
_cell_angle_beta 110.20
_cell_angle_gamma 105.43
_symmetry_space_group_name_H-M 'P 1'
_symmetry_Int_Tables_number 1
_symmetry_space_group_name_Hall 'P 1'
loop_
_atom_site_label
_atom_site_fract_x
_atom_site_fract_y
_atom_site_fract_z
Nd1 0.036 0.224 0.812
Nd2 0.180 0.288 0.468
Nd3 0.180 0.712 0.892
Nd4 0.326 0.024 0.699
Nd5 0.326 0.627 0.301
Nd6 0.412 0.224 0.188
Nd7 0.588 0.776 0.812
Nd8 0.674 0.373 0.699
Nd9 0.674 0.976 0.301
Nd10 0.820 0.288 0.108
Nd11 0.820 0.712 0.532
Nd12 0.964 0.776 0.188
Sn1 0.500 0.500 0.000
Pd1 0.000 0.000 0.000
Pd2 0.131 0.631 0.500
Pd3 0.354 0.000 0.354
Pd4 0.646 0.000 0.646
Pd5 0.869 0.369 0.500
```

Entry 10:
Structure and calculated X-ray diffraction stick pattern of NdTaPd (a crystal structure in Alexandria, relaxed with GGA-PBE; Cu Kα (weighted mean of Kα1 and Kα2)).
Intensities are scaled so that the largest is 100.

Principal peaks in the range 5 to 70 degrees two-theta, by angle:
7.72°, I 18
27.56°, I 8
30.76°, I 6
35.52°, I 100
37.70°, I 53
41.37°, I 8
54.38°, I 18
55.64°, I 8
62.32°, I 9
66.65°, I 32

Cell and atoms:
```
data_NdTaPd
_cell_length_a 4.768
_cell_length_b 4.776
_cell_length_c 11.446
_cell_angle_alpha 90.00
_cell_angle_beta 90.00
_cell_angle_gamma 90.00
_symmetry_space_group_name_H-M 'P 1'
_symmetry_Int_Tables_number 1
_symmetry_space_group_name_Hall 'P 1'
loop_
_atom_site_label
_atom_site_fract_x
_atom_site_fract_y
_atom_site_fract_z
Nd1 0.000 0.000 0.174
Nd2 0.000 0.000 0.826
Nd3 0.500 0.500 0.174
Nd4 0.500 0.500 0.826
Ta1 0.000 0.500 0.372
Ta2 0.000 0.500 0.628
Ta3 0.500 0.000 0.372
Ta4 0.500 0.000 0.628
Pd1 0.000 0.000 0.500
Pd2 0.000 0.500 0.000
Pd3 0.500 0.000 0.000
Pd4 0.500 0.500 0.500
```

Entry 11:
Structure and calculated X-ray diffraction stick pattern of TbNd3Pd (a crystal structure in Alexandria, relaxed with GGA-PBE; Cu Kα (weighted mean of Kα1 and Kα2)).
Intensities are scaled so that the largest is 100.

Principal peaks in the range 5 to 70 degrees two-theta, by angle:
29.53°, I 29
30.17°, I 100
31.26°, I 55
31.70°, I 36
31.98°, I 56
33.41°, I 64
33.65°, I 23
47.64°, I 29
56.95°, I 37
58.10°, I 24

Cell and atoms:
```
data_TbNd3Pd
_cell_length_a 6.539
_cell_length_b 6.539
_cell_length_c 14.112
_cell_angle_alpha 114.13
_cell_angle_beta 114.13
_cell_angle_gamma 33.95
_symmetry_space_group_name_H-M 'P 1'
_symmetry_Int_Tables_number 1
_symmetry_space_group_name_Hall 'P 1'
loop_
_atom_site_label
_atom_site_fract_x
_atom_site_fract_y
_atom_site_fract_z
Tb1 0.000 0.000 0.000
Tb2 0.115 0.115 0.285
Nd1 0.120 0.120 0.627
Nd2 0.234 0.234 0.925
Nd3 0.439 0.439 0.390
Nd4 0.466 0.466 0.761
Nd5 0.767 0.767 0.157
Nd6 0.796 0.796 0.522
Pd1 0.463 0.463 0.138
Pd2 0.782 0.782 0.785
```

Entry 12:
Structure and calculated X-ray diffraction stick pattern of Tb3NdPd3 (a crystal structure in Alexandria, relaxed with GGA-PBE; Cu Kα (weighted mean of Kα1 and Kα2)).
Intensities are scaled so that the largest is 100.

Principal peaks in the range 5 to 70 degrees two-theta, by angle:
27.81°, I 22
29.93°, I 46
31.95°, I 56
32.20°, I 27
33.87°, I 58
35.55°, I 100
37.26°, I 36
38.58°, I 22
42.33°, I 23
54.20°, I 37

Cell and atoms:
```
data_Tb3NdPd3
_cell_length_a 7.058
_cell_length_b 7.058
_cell_length_c 7.147
_cell_angle_alpha 91.01
_cell_angle_beta 91.01
_cell_angle_gamma 97.17
_symmetry_space_group_name_H-M 'P 1'
_symmetry_Int_Tables_number 1
_symmetry_space_group_name_Hall 'P 1'
loop_
_atom_site_label
_atom_site_fract_x
_atom_site_fract_y
_atom_site_fract_z
Tb1 0.178 0.822 0.000
Tb2 0.246 0.754 0.500
Tb3 0.346 0.346 0.134
Tb4 0.654 0.654 0.866
Tb5 0.754 0.246 0.500
Tb6 0.822 0.178 0.000
Nd1 0.266 0.266 0.624
Nd2 0.734 0.734 0.376
Pd1 0.004 0.508 0.777
Pd2 0.062 0.062 0.304
Pd3 0.492 0.996 0.223
Pd4 0.508 0.004 0.777
Pd5 0.938 0.938 0.696
Pd6 0.996 0.492 0.223
```